Theoretical XRD peak list of MgNb2Ga2O8 for copper Kα, from DFT lattice parameters and positions (GGA-PBE).

Largest 12 diffraction maxima, in order of rising 2θ, 2θ from 10° to 90°:
| Position (°2θ) | I (rel.) |
| --- | --- |
| 13.74 | 60 |
| 15.69 | 27 |
| 24.30 | 100 |
| 26.38 | 36 |
| 27.68 | 26 |
| 29.24 | 25 |
| 35.52 | 25 |
| 36.85 | 28 |
| 39.57 | 29 |
| 42.05 | 40 |
| 47.56 | 34 |
| 52.76 | 32 |

Cell and atoms:
```
MgNb2Ga2O8
1.0
6.834 -1.912 0.000
6.834 1.912 0.000
-2.447 0.000 6.446
Mg Nb Ga O
1 2 2 8
Direct
0.000 0.000 0.000 Mg
0.606 0.606 0.354 Nb
0.785 0.785 0.687 Nb
0.495 0.495 0.691 Ga
0.874 0.874 0.286 Ga
0.070 0.070 0.313 O
0.316 0.316 0.681 O
0.436 0.436 0.376 O
0.545 0.545 0.002 O
0.631 0.631 0.663 O
0.756 0.756 0.364 O
0.855 0.855 0.009 O
0.954 0.954 0.686 O
```

=====

Theoretical XRD peak list of NdMgGa for copper Kα, from DFT lattice parameters and positions (GGA-PBE).

Largest 12 diffraction maxima, in order of rising 2θ, 2θ from 10° to 90°:
| Position (°2θ) | I (rel.) |
| --- | --- |
| 19.55 | 23 |
| 23.78 | 23 |
| 27.53 | 30 |
| 30.97 | 79 |
| 33.99 | 100 |
| 36.69 | 25 |
| 39.70 | 25 |
| 41.86 | 31 |
| 50.80 | 20 |
| 54.94 | 28 |
| 66.12 | 20 |
| 66.33 | 18 |

Cell and atoms:
```
NdMgGa
1.0
7.483 0.000 0.000
-3.742 6.481 0.000
0.000 0.000 4.541
Nd Mg Ga
3 3 3
Direct
0.000 0.423 0.000 Nd
0.423 0.000 0.000 Nd
0.577 0.577 0.000 Nd
0.000 0.757 0.500 Mg
0.243 0.243 0.500 Mg
0.757 0.000 0.500 Mg
0.000 0.000 0.000 Ga
0.333 0.667 0.500 Ga
0.667 0.333 0.500 Ga
```

=====

Theoretical XRD peak list of MgGaNi2 for copper Kα, from DFT lattice parameters and positions (GGA-PBE).

Largest 10 diffraction maxima, in order of rising 2θ, 2θ from 10° to 90°:
| Position (°2θ) | I (rel.) |
| --- | --- |
| 26.11 | 11 |
| 30.24 | 3 |
| 43.29 | 100 |
| 51.26 | 5 |
| 53.71 | 1 |
| 62.89 | 15 |
| 69.28 | 2 |
| 71.35 | 1 |
| 79.42 | 30 |
| 85.32 | 2 |

Cell and atoms:
```
MgGaNi2
1.0
0.000 2.956 2.956
2.956 0.000 2.956
2.956 2.956 0.000
Mg Ga Ni
1 1 2
Direct
0.000 0.000 0.000 Mg
0.500 0.500 0.500 Ga
0.250 0.250 0.250 Ni
0.750 0.750 0.750 Ni
```

=====

Theoretical XRD peak list of Mg3GaO4 for copper Kα, from DFT lattice parameters and positions (GGA-PBE).

Largest 12 diffraction maxima, in order of rising 2θ, 2θ from 10° to 90°:
| Position (°2θ) | I (rel.) |
| --- | --- |
| 20.35 | 31 |
| 28.94 | 26 |
| 35.64 | 32 |
| 41.38 | 100 |
| 46.54 | 14 |
| 51.29 | 11 |
| 59.96 | 59 |
| 64.01 | 7 |
| 71.74 | 16 |
| 75.47 | 18 |
| 82.76 | 5 |
| 89.93 | 8 |

Cell and atoms:
```
Mg3GaO4
1.0
4.363 0.000 0.000
0.000 4.363 0.000
0.000 0.000 4.363
Mg Ga O
3 1 4
Direct
0.000 0.000 0.500 Mg
0.000 0.500 0.000 Mg
0.500 0.000 0.000 Mg
0.500 0.500 0.500 Ga
0.000 0.000 0.000 O
0.000 0.500 0.500 O
0.500 0.000 0.500 O
0.500 0.500 0.000 O
```

=====

Theoretical XRD peak list of RbMg14GaO16 for copper Kα, from DFT lattice parameters and positions (GGA-PBE).

Largest 12 diffraction maxima, in order of rising 2θ, 2θ from 10° to 90°:
| Position (°2θ) | I (rel.) |
| --- | --- |
| 10.15 | 38 |
| 22.31 | 15 |
| 23.16 | 16 |
| 30.66 | 18 |
| 35.58 | 64 |
| 40.24 | 100 |
| 41.45 | 89 |
| 42.24 | 83 |
| 59.15 | 54 |
| 59.76 | 52 |
| 60.67 | 48 |
| 75.34 | 47 |

Cell and atoms:
```
RbMg14GaO16
1.0
4.482 0.000 0.000
0.000 8.557 0.000
0.000 0.000 8.714
Rb Mg Ga O
1 14 1 16
Direct
0.000 0.000 0.000 Rb
0.000 0.000 0.500 Mg
0.000 0.249 0.258 Mg
0.000 0.249 0.742 Mg
0.000 0.500 0.500 Mg
0.000 0.751 0.258 Mg
0.000 0.751 0.742 Mg
0.500 0.000 0.255 Mg
0.500 0.000 0.745 Mg
0.500 0.249 0.000 Mg
0.500 0.249 0.500 Mg
0.500 0.500 0.252 Mg
0.500 0.500 0.748 Mg
0.500 0.751 0.000 Mg
0.500 0.751 0.500 Mg
0.000 0.500 0.000 Ga
0.000 0.000 0.280 O
0.000 0.000 0.720 O
0.000 0.258 0.500 O
0.000 0.287 0.000 O
0.000 0.500 0.250 O
0.000 0.500 0.750 O
0.000 0.713 0.000 O
0.000 0.742 0.500 O
0.500 0.000 0.000 O
0.500 0.000 0.500 O
0.500 0.251 0.249 O
0.500 0.251 0.751 O
0.500 0.500 0.000 O
0.500 0.500 0.500 O
0.500 0.749 0.249 O
0.500 0.749 0.751 O
```

=====

Theoretical XRD peak list of RbMg14GaO16 for copper Kα, from DFT lattice parameters and positions (GGA-PBE).

Largest 12 diffraction maxima, in order of rising 2θ, 2θ from 10° to 90°:
| Position (°2θ) | I (rel.) |
| --- | --- |
| 14.48 | 23 |
| 20.53 | 14 |
| 24.64 | 16 |
| 28.69 | 12 |
| 35.54 | 37 |
| 38.56 | 11 |
| 40.29 | 58 |
| 41.75 | 100 |
| 59.42 | 62 |
| 60.52 | 28 |
| 72.18 | 17 |
| 75.24 | 27 |

Cell and atoms:
```
RbMg14GaO16
1.0
8.654 0.000 0.000
0.000 8.654 0.000
0.000 0.000 4.477
Rb Mg Ga O
1 14 1 16
Direct
0.000 0.000 0.000 Rb
0.000 0.252 0.500 Mg
0.000 0.500 0.000 Mg
0.000 0.748 0.500 Mg
0.248 0.500 0.500 Mg
0.249 0.249 0.000 Mg
0.249 0.751 0.000 Mg
0.252 0.000 0.500 Mg
0.500 0.000 0.000 Mg
0.500 0.248 0.500 Mg
0.500 0.752 0.500 Mg
0.748 0.000 0.500 Mg
0.751 0.249 0.000 Mg
0.751 0.751 0.000 Mg
0.752 0.500 0.500 Mg
0.500 0.500 0.000 Ga
0.000 0.000 0.500 O
0.000 0.282 0.000 O
0.000 0.500 0.500 O
0.000 0.718 0.000 O
0.252 0.252 0.500 O
0.252 0.748 0.500 O
0.268 0.500 0.000 O
0.282 0.000 0.000 O
0.500 0.000 0.500 O
0.500 0.268 0.000 O
0.500 0.500 0.500 O
0.500 0.732 0.000 O
0.718 0.000 0.000 O
0.732 0.500 0.000 O
0.748 0.252 0.500 O
0.748 0.748 0.500 O
```

=====

Theoretical XRD peak list of Sr2MgGaSbO6 for copper Kα, from DFT lattice parameters and positions (GGA-PBE).

Largest 12 diffraction maxima, in order of rising 2θ, 2θ from 10° to 90°:
| Position (°2θ) | I (rel.) |
| --- | --- |
| 25.35 | 100 |
| 26.74 | 37 |
| 27.80 | 54 |
| 30.31 | 50 |
| 31.51 | 53 |
| 33.23 | 31 |
| 33.47 | 25 |
| 40.59 | 21 |
| 42.27 | 40 |
| 42.69 | 17 |
| 49.51 | 25 |
| 50.20 | 22 |

Cell and atoms:
```
Sr2MgGaSbO6
1.0
5.506 0.000 0.000
-1.170 5.958 0.000
-1.965 -2.213 5.355
Sr Mg Ga Sb O
2 1 1 1 6
Direct
0.181 0.263 0.436 Sr
0.819 0.737 0.564 Sr
0.500 0.500 0.000 Mg
0.000 0.500 0.000 Ga
0.500 0.000 0.000 Sb
0.198 0.142 0.822 O
0.211 0.630 0.811 O
0.328 0.574 0.261 O
0.672 0.426 0.739 O
0.789 0.370 0.189 O
0.802 0.858 0.178 O
```

=====

Theoretical XRD peak list of Sr2MgGaSbO6 for copper Kα, from DFT lattice parameters and positions (GGA-PBE).

Largest 12 diffraction maxima, in order of rising 2θ, 2θ from 10° to 90°:
| Position (°2θ) | I (rel.) |
| --- | --- |
| 17.63 | 17 |
| 18.35 | 23 |
| 28.46 | 100 |
| 30.35 | 44 |
| 31.02 | 41 |
| 31.81 | 32 |
| 37.19 | 17 |
| 43.40 | 24 |
| 43.95 | 56 |
| 44.54 | 27 |
| 52.77 | 18 |
| 53.62 | 17 |

Cell and atoms:
```
Sr2MgGaSbO6
1.0
-2.883 2.945 4.835
2.883 -2.945 4.835
2.883 2.945 -4.835
Sr Mg Ga Sb O
2 1 1 1 6
Direct
0.183 0.183 0.000 Sr
0.817 0.817 0.000 Sr
0.500 0.500 0.000 Mg
0.500 0.000 0.500 Ga
0.000 0.500 0.500 Sb
0.247 0.747 0.500 O
0.272 0.239 0.511 O
0.272 0.761 0.033 O
0.728 0.239 0.967 O
0.728 0.761 0.489 O
0.753 0.253 0.500 O
```

=====

Repeat the fourth record exactly.
Theoretical XRD peak list of Mg3GaO4 for copper Kα, from DFT lattice parameters and positions (GGA-PBE).

Largest 12 diffraction maxima, in order of rising 2θ, 2θ from 10° to 90°:
| Position (°2θ) | I (rel.) |
| --- | --- |
| 20.35 | 31 |
| 28.94 | 26 |
| 35.64 | 32 |
| 41.38 | 100 |
| 46.54 | 14 |
| 51.29 | 11 |
| 59.96 | 59 |
| 64.01 | 7 |
| 71.74 | 16 |
| 75.47 | 18 |
| 82.76 | 5 |
| 89.93 | 8 |

Cell and atoms:
```
Mg3GaO4
1.0
4.363 0.000 0.000
0.000 4.363 0.000
0.000 0.000 4.363
Mg Ga O
3 1 4
Direct
0.000 0.000 0.500 Mg
0.000 0.500 0.000 Mg
0.500 0.000 0.000 Mg
0.500 0.500 0.500 Ga
0.000 0.000 0.000 O
0.000 0.500 0.500 O
0.500 0.000 0.500 O
0.500 0.500 0.000 O
```